Structure and calculated XRD peak list of LiZnSO4F (a DFT-relaxed cell (PBE, Alexandria); Cu Kα).

Top 12 peaks for 2θ = 10–90°, by intensity:
26.55 deg, rel. 100; 28.32 deg, rel. 59; 25.86 deg, rel. 44; 38.72 deg, rel. 33; 22.88 deg, rel. 27; 18.12 deg, rel. 21; 39.20 deg, rel. 16; 16.49 deg, rel. 15; 42.50 deg, rel. 13; 54.67 deg, rel. 13; 52.55 deg, rel. 13; 32.94 deg, rel. 13

```
data_LiZnSO4F
_chemical_formula_sum 'Li4 Zn4 S4 O16 F4'
_symmetry_space_group_name_H-M 'P 1'
_symmetry_Int_Tables_number 1
_cell_length_a 7.4457
_cell_length_b 6.3029
_cell_length_c 7.7743
_cell_angle_alpha 90.00
_cell_angle_beta 90.00
_cell_angle_gamma 90.00
loop_
_symmetry_equiv_pos_as_xyz
'x,y,z'
loop_
_atom_site_label
_atom_site_fract_x
_atom_site_fract_y
_atom_site_fract_z
Li1 0.0000 0.0000 0.0000
Li2 0.0000 0.5000 0.0000
Li3 0.5000 0.0000 0.5000
Li4 0.5000 0.5000 0.5000
Zn1 0.1274 0.2500 0.3023
Zn2 0.3726 0.7500 0.8023
Zn3 0.6274 0.2500 0.1977
Zn4 0.8726 0.7500 0.6977
S1 0.1352 0.7500 0.3538
S2 0.3648 0.2500 0.8538
S3 0.6352 0.7500 0.1462
S4 0.8648 0.2500 0.6462
O1 0.0300 0.2500 0.5407
O2 0.1336 0.5610 0.2365
O3 0.1336 0.9390 0.2365
O4 0.2014 0.2500 0.9618
O5 0.2986 0.7500 0.4618
O6 0.3664 0.0610 0.7365
O7 0.3664 0.4390 0.7365
O8 0.4700 0.7500 0.0407
O9 0.5300 0.2500 0.9593
O10 0.6336 0.5610 0.2635
O11 0.6336 0.9390 0.2635
O12 0.7014 0.2500 0.5382
O13 0.7986 0.7500 0.0382
O14 0.8664 0.0610 0.7635
O15 0.8664 0.4390 0.7635
O16 0.9700 0.7500 0.4593
F1 0.1043 0.7500 0.8619
F2 0.3957 0.2500 0.3619
F3 0.6043 0.7500 0.6381
F4 0.8957 0.2500 0.1381
```


Structure and calculated XRD peak list of Sr3LiTa4O12F2 (a DFT-relaxed cell (PBE, Alexandria); Cu Kα).

Top 12 peaks for 2θ = 10–90°, by intensity:
28.95 deg, rel. 100; 33.71 deg, rel. 44; 14.36 deg, rel. 43; 29.50 deg, rel. 30; 48.06 deg, rel. 30; 48.77 deg, rel. 29; 57.40 deg, rel. 28; 27.79 deg, rel. 18; 57.08 deg, rel. 15; 58.03 deg, rel. 15; 77.77 deg, rel. 12; 59.98 deg, rel. 12

```
data_Sr3LiTa4O12F2
_chemical_formula_sum 'Sr3 Li1 Ta4 O12 F2'
_symmetry_space_group_name_H-M 'P 1'
_symmetry_Int_Tables_number 1
_cell_length_a 7.4698
_cell_length_b 7.4698
_cell_length_c 7.4698
_cell_angle_alpha 60.92
_cell_angle_beta 60.92
_cell_angle_gamma 60.92
loop_
_symmetry_equiv_pos_as_xyz
'x,y,z'
loop_
_atom_site_label
_atom_site_fract_x
_atom_site_fract_y
_atom_site_fract_z
Sr1 0.0000 0.5000 0.5000
Sr2 0.5000 0.0000 0.5000
Sr3 0.5000 0.5000 0.0000
Li1 0.5000 0.5000 0.5000
Ta1 0.0000 0.0000 0.0000
Ta2 0.0000 0.0000 0.5000
Ta3 0.0000 0.5000 0.0000
Ta4 0.5000 0.0000 0.0000
O1 0.0607 0.6868 0.6868
O2 0.0729 0.0729 0.6786
O3 0.0729 0.6786 0.0729
O4 0.3132 0.3132 0.9393
O5 0.3132 0.9393 0.3132
O6 0.3214 0.9271 0.9271
O7 0.6786 0.0729 0.0729
O8 0.6868 0.0607 0.6868
O9 0.6868 0.6868 0.0607
O10 0.9271 0.3214 0.9271
O11 0.9271 0.9271 0.3214
O12 0.9393 0.3132 0.3132
F1 0.3918 0.3918 0.3918
F2 0.6082 0.6082 0.6082
```


Structure and calculated XRD peak list of LiUO4F (a DFT-relaxed cell (PBE, Alexandria); Cu Kα).

Top 12 peaks for 2θ = 10–90°, by intensity:
13.22 deg, rel. 100; 20.28 deg, rel. 97; 18.27 deg, rel. 43; 31.96 deg, rel. 35; 27.63 deg, rel. 33; 24.24 deg, rel. 33; 30.21 deg, rel. 32; 34.81 deg, rel. 18; 45.28 deg, rel. 17; 32.68 deg, rel. 17; 30.90 deg, rel. 17; 42.49 deg, rel. 17

```
data_LiUO4F
_chemical_formula_sum 'Li2 U2 O8 F2'
_symmetry_space_group_name_H-M 'P 1'
_symmetry_Int_Tables_number 1
_cell_length_a 5.8796
_cell_length_b 5.8796
_cell_length_c 6.7804
_cell_angle_alpha 97.40
_cell_angle_beta 97.40
_cell_angle_gamma 66.62
loop_
_symmetry_equiv_pos_as_xyz
'x,y,z'
loop_
_atom_site_label
_atom_site_fract_x
_atom_site_fract_y
_atom_site_fract_z
Li1 0.1050 0.1050 0.3058
Li2 0.8950 0.8950 0.6942
U1 0.3062 0.3062 0.8932
U2 0.6938 0.6938 0.1068
O1 0.0326 0.6183 0.8711
O2 0.0974 0.0974 0.7253
O3 0.1920 0.1920 0.5855
O4 0.3817 0.9674 0.1289
O5 0.6183 0.0326 0.8711
O6 0.8080 0.8080 0.4145
O7 0.9026 0.9026 0.2747
O8 0.9674 0.3817 0.1289
F1 0.4707 0.4707 0.1819
F2 0.5293 0.5293 0.8181
```